Structure and computed PXRD pattern of Th2GaSe (the GGA-PBE geometry in Alexandria; CuKα).
Lines closer than 0.1° are merged.

Peak list (10 most intense, 15 to 90 degrees two-theta, low angle first)
2θ/deg, I_rel
24.4, 187
27.5, 1000
27.7, 473
34.9, 498
35.0, 264
43.2, 180
43.5, 352
44.9, 274
52.1, 172
68.4, 188

Cell and atoms:
```
data_Th2GaSe
_chemical_formula_sum 'Th4 Ga2 Se2'
_space_group_name_H-M_alt 'P 1'
_space_group_IT_number 1
_cell_length_a 7.1823
_cell_length_b 7.3048
_cell_length_c 4.1911
_cell_angle_alpha 90.00
_cell_angle_beta 90.00
_cell_angle_gamma 90.00
loop_
_space_group_symop_operation_xyz
'x,y,z'
loop_
_atom_site_label
_atom_site_type_symbol
_atom_site_fract_x
_atom_site_fract_y
_atom_site_fract_z
Th1 Th 0.1685 0.2485 0.0000
Th2 Th 0.3315 0.7485 0.5000
Th3 Th 0.6685 0.2515 0.5000
Th4 Th 0.8315 0.7515 0.0000
Ga1 Ga 0.0000 0.0000 0.5000
Ga2 Ga 0.5000 0.5000 0.0000
Se1 Se 0.0000 0.5000 0.5000
Se2 Se 0.5000 0.0000 0.0000
```

Structure and computed PXRD pattern of Ti4GaSe8 (the GGA-PBE geometry in Alexandria; CuKα).
Lines closer than 0.1° are merged.

Peak list (10 most intense, 15 to 90 degrees two-theta, low angle first)
2θ/deg, I_rel
25.1, 113
30.2, 232
33.6, 1000
41.7, 107
45.0, 375
51.4, 369
62.8, 155
70.6, 94
75.7, 119
85.3, 132

Cell and atoms:
```
data_Ti4GaSe8
_chemical_formula_sum 'Ti4 Ga1 Se8'
_space_group_name_H-M_alt 'P 1'
_space_group_IT_number 1
_cell_length_a 8.2060
_cell_length_b 8.2060
_cell_length_c 8.2060
_cell_angle_alpha 51.38
_cell_angle_beta 51.38
_cell_angle_gamma 51.38
loop_
_space_group_symop_operation_xyz
'x,y,z'
loop_
_atom_site_label
_atom_site_type_symbol
_atom_site_fract_x
_atom_site_fract_y
_atom_site_fract_z
Ti1 Ti 0.0000 0.0000 0.0000
Ti2 Ti 0.0000 0.5000 0.5000
Ti3 Ti 0.5000 0.0000 0.5000
Ti4 Ti 0.5000 0.5000 0.0000
Ga1 Ga 0.5000 0.5000 0.5000
Se1 Se 0.2397 0.2397 0.7407
Se2 Se 0.2397 0.7407 0.2397
Se3 Se 0.2593 0.7603 0.7603
Se4 Se 0.2611 0.2611 0.2611
Se5 Se 0.7389 0.7389 0.7389
Se6 Se 0.7407 0.2397 0.2397
Se7 Se 0.7603 0.2593 0.7603
Se8 Se 0.7603 0.7603 0.2593
```

Structure and computed PXRD pattern of Ti3GaSe3 (the GGA-PBE geometry in Alexandria; CuKα).
Lines closer than 0.1° are merged.

Peak list (10 most intense, 15 to 90 degrees two-theta, low angle first)
2θ/deg, I_rel
21.1, 49
30.0, 273
32.4, 38
34.7, 1000
49.9, 682
59.3, 126
62.3, 227
73.3, 103
81.2, 55
83.7, 290

Cell and atoms:
```
data_Ti3GaSe3
_chemical_formula_sum 'Ti12 Ga4 Se12'
_space_group_name_H-M_alt 'P 1'
_space_group_IT_number 1
_cell_length_a 8.9474
_cell_length_b 8.9474
_cell_length_c 8.9474
_cell_angle_alpha 109.47
_cell_angle_beta 109.47
_cell_angle_gamma 109.47
loop_
_space_group_symop_operation_xyz
'x,y,z'
loop_
_atom_site_label
_atom_site_type_symbol
_atom_site_fract_x
_atom_site_fract_y
_atom_site_fract_z
Ti1 Ti 0.9996 0.5004 0.7500
Ti2 Ti 0.9996 0.9993 0.2496
Ti3 Ti 0.2496 0.9996 0.9993
Ti4 Ti 0.2504 0.2496 0.7500
Ti5 Ti 0.2504 0.5007 0.5004
Ti6 Ti 0.2496 0.7500 0.2504
Ti7 Ti 0.5004 0.2504 0.5007
Ti8 Ti 0.5004 0.7500 0.9996
Ti9 Ti 0.5007 0.5004 0.2504
Ti10 Ti 0.7500 0.9996 0.5004
Ti11 Ti 0.7500 0.2504 0.2496
Ti12 Ti 0.9993 0.2496 0.9996
Ga1 Ga 0.0000 0.2500 0.5000
Ga2 Ga 0.2500 0.2500 0.2500
Ga3 Ga 0.2500 0.5000 0.0000
Ga4 Ga 0.5000 0.0000 0.2500
Se1 Se 0.2500 0.7517 0.7483
Se2 Se 0.2500 0.9983 0.5017
Se3 Se 0.5017 0.2500 0.9983
Se4 Se 0.5017 0.7517 0.5033
Se5 Se 0.5033 0.5017 0.7517
Se6 Se 0.7483 0.2500 0.7517
Se7 Se 0.7483 0.9983 0.9967
Se8 Se 0.7517 0.5033 0.5017
Se9 Se 0.7517 0.7483 0.2500
Se10 Se 0.9967 0.7483 0.9983
Se11 Se 0.9983 0.5017 0.2500
Se12 Se 0.9983 0.9967 0.7483
```

Structure and computed PXRD pattern of TlGaSe (the GGA-PBE geometry in Alexandria; CuKα).
Lines closer than 0.1° are merged.

Peak list (10 most intense, 15 to 90 degrees two-theta, low angle first)
2θ/deg, I_rel
24.8, 155
29.6, 1000
41.0, 304
43.7, 293
53.7, 191
55.3, 115
61.5, 92
67.7, 106
71.7, 162
78.5, 92

Cell and atoms:
```
data_TlGaSe
_chemical_formula_sum 'Tl1 Ga1 Se1'
_space_group_name_H-M_alt 'P 1'
_space_group_IT_number 1
_cell_length_a 4.1386
_cell_length_b 4.1386
_cell_length_c 5.5803
_cell_angle_alpha 90.00
_cell_angle_beta 90.00
_cell_angle_gamma 120.00
loop_
_space_group_symop_operation_xyz
'x,y,z'
loop_
_atom_site_label
_atom_site_type_symbol
_atom_site_fract_x
_atom_site_fract_y
_atom_site_fract_z
Tl1 Tl 0.0000 0.0000 0.0000
Ga1 Ga 0.3333 0.6667 0.6129
Se1 Se 0.6667 0.3333 0.3825
```

Structure and computed PXRD pattern of Tl14Ga2Se9 (the GGA-PBE geometry in Alexandria; CuKα).
Lines closer than 0.1° are merged.

Peak list (10 most intense, 15 to 90 degrees two-theta, low angle first)
2θ/deg, I_rel
24.2, 199
25.2, 1000
29.6, 414
30.7, 615
31.1, 220
32.4, 199
33.7, 486
38.0, 254
38.6, 419
58.6, 234

Cell and atoms:
```
data_Tl14Ga2Se9
_chemical_formula_sum 'Tl14 Ga2 Se9'
_space_group_name_H-M_alt 'P 1'
_space_group_IT_number 1
_cell_length_a 9.2234
_cell_length_b 9.2234
_cell_length_c 11.0375
_cell_angle_alpha 90.00
_cell_angle_beta 90.00
_cell_angle_gamma 120.00
loop_
_space_group_symop_operation_xyz
'x,y,z'
loop_
_atom_site_label
_atom_site_type_symbol
_atom_site_fract_x
_atom_site_fract_y
_atom_site_fract_z
Tl1 Tl 0.0000 0.0000 0.2144
Tl2 Tl 0.0000 0.0000 0.7856
Tl3 Tl 0.0208 0.6737 0.3995
Tl4 Tl 0.1065 0.4299 0.1437
Tl5 Tl 0.3234 0.8935 0.1437
Tl6 Tl 0.3263 0.3471 0.3995
Tl7 Tl 0.3471 0.0208 0.6005
Tl8 Tl 0.4299 0.3234 0.8563
Tl9 Tl 0.5701 0.6766 0.1437
Tl10 Tl 0.6529 0.9792 0.3995
Tl11 Tl 0.6737 0.6529 0.6005
Tl12 Tl 0.6766 0.1065 0.8563
Tl13 Tl 0.8935 0.5701 0.8563
Tl14 Tl 0.9792 0.3263 0.6005
Ga1 Ga 0.3333 0.6667 0.7989
Ga2 Ga 0.6667 0.3333 0.2011
Se1 Se 0.0000 0.0000 0.5000
Se2 Se 0.1218 0.3890 0.8742
Se3 Se 0.2671 0.8782 0.8742
Se4 Se 0.3333 0.6667 0.5765
Se5 Se 0.3890 0.2671 0.1258
Se6 Se 0.6110 0.7329 0.8742
Se7 Se 0.6667 0.3333 0.4235
Se8 Se 0.7329 0.1218 0.1258
Se9 Se 0.8782 0.6110 0.1258
```

Structure and computed PXRD pattern of Tl5Ga2Se6 (the GGA-PBE geometry in Alexandria; CuKα).
Lines closer than 0.1° are merged.

Peak list (10 most intense, 15 to 90 degrees two-theta, low angle first)
2θ/deg, I_rel
22.1, 345
22.9, 466
25.2, 610
25.9, 578
26.2, 272
29.0, 288
31.5, 1000
35.7, 309
39.7, 365
39.9, 273

Cell and atoms:
```
data_Tl5Ga2Se6
_chemical_formula_sum 'Tl10 Ga4 Se12'
_space_group_name_H-M_alt 'P 1'
_space_group_IT_number 1
_cell_length_a 7.7410
_cell_length_b 7.7410
_cell_length_c 16.5117
_cell_angle_alpha 101.15
_cell_angle_beta 101.15
_cell_angle_gamma 62.40
loop_
_space_group_symop_operation_xyz
'x,y,z'
loop_
_atom_site_label
_atom_site_type_symbol
_atom_site_fract_x
_atom_site_fract_y
_atom_site_fract_z
Tl1 Tl 0.1805 0.4960 0.2621
Tl2 Tl 0.1830 0.8170 0.7500
Tl3 Tl 0.2285 0.7536 0.9985
Tl4 Tl 0.2464 0.7715 0.5015
Tl5 Tl 0.4960 0.1805 0.7621
Tl6 Tl 0.5040 0.8195 0.2379
Tl7 Tl 0.7536 0.2285 0.4985
Tl8 Tl 0.7715 0.2464 0.0015
Tl9 Tl 0.8170 0.1830 0.2500
Tl10 Tl 0.8195 0.5040 0.7379
Ga1 Ga 0.1639 0.3848 0.5691
Ga2 Ga 0.3848 0.1639 0.0691
Ga3 Ga 0.6152 0.8361 0.9309
Ga4 Ga 0.8361 0.6152 0.4309
Se1 Se 0.1352 0.2987 0.4176
Se2 Se 0.1435 0.1461 0.1388
Se3 Se 0.1461 0.1435 0.6388
Se4 Se 0.2987 0.1352 0.9176
Se5 Se 0.4463 0.4469 0.6275
Se6 Se 0.4469 0.4463 0.1275
Se7 Se 0.5531 0.5537 0.8725
Se8 Se 0.5537 0.5531 0.3725
Se9 Se 0.7013 0.8648 0.0824
Se10 Se 0.8539 0.8565 0.3612
Se11 Se 0.8565 0.8539 0.8612
Se12 Se 0.8648 0.7013 0.5824
```